This entry pairs a crystal structure of EuH9C5N2O8 with its theoretical X-ray powder pattern. Radiation: Cu Kα. Structure: a cell relaxed with GGA-PBE.
Peak positions follow from Bragg's law for the DFT cell and can differ from measured ones.

Atomic structure:
Cell: 6.9359 6.9359 6.7433 Å, 107.10 107.10 64.48°
Sites, in units of the cell vectors:
1 Eu 0.0000 0.0000 0.0000
2 H 0.1403 0.4768 0.1211
3 H 0.2692 0.4928 0.5361
4 H 0.3612 0.2150 0.4020
5 H 0.5072 0.7308 0.4639
6 H 0.5232 0.8597 0.8789
7 H 0.5347 0.4358 0.8230
8 H 0.5642 0.4653 0.1770
9 H 0.7850 0.6388 0.5980
10 H 0.9300 0.0700 0.5000
11 C 0.0367 0.4766 0.9604
12 C 0.0793 0.9207 0.5000
13 C 0.5234 0.9633 0.0396
14 C 0.5318 0.2904 0.6999
15 C 0.7096 0.4682 0.3001
16 N 0.3735 0.3341 0.5333
17 N 0.6659 0.6265 0.4667
18 O 0.1516 0.8336 0.6624
19 O 0.1664 0.8484 0.3376
20 O 0.3628 0.0095 0.1243
21 O 0.6699 0.1041 0.7235
22 O 0.6792 0.0266 0.1251
23 O 0.8959 0.3301 0.2765
24 O 0.9734 0.3208 0.8749
25 O 0.9905 0.6372 0.8757

Most intense lines, 10° ≤ 2θ ≤ 80°, by angle:
2θ 14.01, intensity 42
2θ 14.43, intensity 100
2θ 16.11, intensity 32
2θ 18.08, intensity 54
2θ 22.05, intensity 41
2θ 27.14, intensity 31
2θ 29.12, intensity 48
2θ 32.61, intensity 22
2θ 34.88, intensity 23
2θ 42.90, intensity 26

---

This entry pairs a crystal structure of LiEu4C3I3N6 with its theoretical X-ray powder pattern. Radiation: Cu Kα. Structure: a cell relaxed with GGA-PBE.
Peak positions follow from Bragg's law for the DFT cell and can differ from measured ones.

Atomic structure:
Cell: 10.7602 10.7602 6.8096 Å, 90.00 90.00 120.00°
Sites, in units of the cell vectors:
1 Li 0.0000 0.0000 0.0000
2 Li 0.0000 0.0000 0.5000
3 Eu 0.2139 0.4277 0.2500
4 Eu 0.2139 0.7861 0.2500
5 Eu 0.3333 0.6667 0.7500
6 Eu 0.4277 0.2139 0.7500
7 Eu 0.5723 0.7861 0.2500
8 Eu 0.6667 0.3333 0.2500
9 Eu 0.7861 0.2139 0.7500
10 Eu 0.7861 0.5723 0.7500
11 C 0.0000 0.5000 0.0000
12 C 0.0000 0.5000 0.5000
13 C 0.5000 0.0000 0.0000
14 C 0.5000 0.0000 0.5000
15 C 0.5000 0.5000 0.0000
16 C 0.5000 0.5000 0.5000
17 I 0.1295 0.2589 0.7500
18 I 0.1295 0.8705 0.7500
19 I 0.2589 0.1295 0.2500
20 I 0.7411 0.8705 0.7500
21 I 0.8705 0.1295 0.2500
22 I 0.8705 0.7411 0.2500
23 N 0.1320 0.5660 0.0237
24 N 0.1320 0.5660 0.4763
25 N 0.4340 0.5660 0.0237
26 N 0.4340 0.5660 0.4763
27 N 0.4340 0.8680 0.0237
28 N 0.4340 0.8680 0.4763
29 N 0.5660 0.1320 0.5237
30 N 0.5660 0.1320 0.9763
31 N 0.5660 0.4340 0.5237
32 N 0.5660 0.4340 0.9763
33 N 0.8680 0.4340 0.5237
34 N 0.8680 0.4340 0.9763

Most intense lines, 10° ≤ 2θ ≤ 80°, by angle:
2θ 19.05, intensity 38
2θ 26.17, intensity 46
2θ 28.53, intensity 74
2θ 31.66, intensity 100
2θ 32.57, intensity 46
2θ 33.31, intensity 19
2θ 49.75, intensity 31
2θ 50.92, intensity 23
2θ 58.14, intensity 24
2θ 77.28, intensity 17

---

This entry pairs a crystal structure of Na3EuC3O9 with its theoretical X-ray powder pattern. Radiation: Cu Kα. Structure: a cell relaxed with GGA-PBE.
Peak positions follow from Bragg's law for the DFT cell and can differ from measured ones.

Atomic structure:
Cell: 10.1137 6.6829 6.6829 Å, 113.47 90.00 90.00°
Sites, in units of the cell vectors:
1 Na 0.0000 0.0000 0.0000
2 Na 0.2500 0.3398 0.3070
3 Na 0.2500 0.7339 0.1469
4 Na 0.5000 0.0000 0.0000
5 Na 0.7500 0.1469 0.7339
6 Na 0.7500 0.3070 0.3398
7 Eu 0.2500 0.1620 0.7081
8 Eu 0.7500 0.7081 0.1620
9 C 0.0010 0.0612 0.4630
10 C 0.2500 0.7149 0.6940
11 C 0.4990 0.0612 0.4630
12 C 0.5010 0.4630 0.0612
13 C 0.7500 0.6940 0.7149
14 C 0.9990 0.4630 0.0612
15 O 0.0082 0.0576 0.6543
16 O 0.1095 0.0886 0.3716
17 O 0.1116 0.3650 0.0431
18 O 0.2500 0.5239 0.6984
19 O 0.2500 0.7408 0.5124
20 O 0.2500 0.8907 0.8776
21 O 0.3884 0.3650 0.0431
22 O 0.3905 0.0886 0.3716
23 O 0.4918 0.0576 0.6543
24 O 0.5082 0.6543 0.0576
25 O 0.6095 0.3716 0.0886
26 O 0.6116 0.0431 0.3650
27 O 0.7500 0.5124 0.7408
28 O 0.7500 0.6984 0.5239
29 O 0.7500 0.8776 0.8907
30 O 0.8884 0.0431 0.3650
31 O 0.8905 0.3716 0.0886
32 O 0.9918 0.6543 0.0576

Most intense lines, 10° ≤ 2θ ≤ 80°, by angle:
2θ 15.86, intensity 39
2θ 16.91, intensity 100
2θ 17.54, intensity 40
2θ 28.28, intensity 26
2θ 30.11, intensity 17
2θ 30.26, intensity 21
2θ 34.21, intensity 44
2θ 35.50, intensity 19
2θ 40.60, intensity 17
2θ 46.58, intensity 22

---

This entry pairs a crystal structure of Pm2EuC with its theoretical X-ray powder pattern. Radiation: Cu Kα. Structure: a cell relaxed with GGA-PBE.
Peak positions follow from Bragg's law for the DFT cell and can differ from measured ones.

Atomic structure:
Cell: 10.4845 10.4845 10.4845 Å, 20.19 20.19 20.19°
Sites, in units of the cell vectors:
1 Pm 0.1213 0.1213 0.1213
2 Pm 0.8787 0.8787 0.8787
3 Eu 0.0000 0.0000 0.0000
4 C 0.5000 0.5000 0.5000

Most intense lines, 10° ≤ 2θ ≤ 80°, by angle:
2θ 26.04, intensity 49
2θ 28.19, intensity 100
2θ 28.64, intensity 24
2θ 34.79, intensity 45
2θ 36.63, intensity 82
2θ 49.61, intensity 35
2θ 55.81, intensity 22
2θ 56.87, intensity 34
2θ 58.63, intensity 18
2θ 63.23, intensity 16